No. 1
# Sr4SnN4
Theoretical powder XRD pattern, Cu Kα. Input: a DFT-relaxed cell (PBE, Alexandria).
Neutral-atom scattering factors, no anomalous dispersion.

Crystal structure
Cell lengths 6.4736, 6.5298, 9.6373 Å; angles 71.36, 79.39, 67.89 degrees
Positions (direct):
Sr 0.2287 0.4884 0.0696
Sr 0.2420 0.2306 0.4809
Sr 0.2683 0.0429 0.8936
Sr 0.2701 0.5777 0.6762
Sr 0.7299 0.4223 0.3238
Sr 0.7317 0.9571 0.1064
Sr 0.7580 0.7694 0.5191
Sr 0.7713 0.5116 0.9304
Sn 0.2147 0.8484 0.2566
Sn 0.7853 0.1516 0.7434
N 0.0067 0.1793 0.1326
N 0.0132 0.6301 0.3059
N 0.3922 0.8329 0.4258
N 0.4799 0.6997 0.1088
N 0.5201 0.3003 0.8912
N 0.6078 0.1671 0.5742
N 0.9868 0.3699 0.6941
N 0.9933 0.8207 0.8674

Top 10 peaks for 15 to 90 degrees two-theta, low angle first:
Position (°2θ)  I/Imax
29.2  48
29.6  45
29.9  100
33.2  41
33.6  41
36.2  33
48.2  15
50.4  12
50.6  24
57.8  17



No. 2
# Y5Ho5Sb6
Theoretical powder XRD pattern, Cu Kα. Input: a DFT-relaxed cell (PBE, Alexandria).
Neutral-atom scattering factors, no anomalous dispersion.

Crystal structure
Cell lengths 6.3055, 8.9654, 8.9654 Å; angles 119.95, 90.00, 90.00 degrees
Positions (direct):
Y 0.0000 0.0000 0.0000
Y 0.0000 0.2485 0.4954
Y 0.0000 0.4954 0.2485
Y 0.5000 0.0011 0.2482
Y 0.5000 0.2482 0.0011
Ho 0.2500 0.5815 0.9151
Ho 0.2500 0.9151 0.5815
Ho 0.5000 0.4960 0.4960
Ho 0.7500 0.5815 0.9151
Ho 0.7500 0.9151 0.5815
Sb 0.0000 0.2482 0.8588
Sb 0.0000 0.6376 0.6376
Sb 0.0000 0.8588 0.2482
Sb 0.5000 0.2489 0.6375
Sb 0.5000 0.6375 0.2489
Sb 0.5000 0.8582 0.8582

Top 10 peaks for 15 to 90 degrees two-theta, low angle first:
Position (°2θ)  I/Imax
30.5  33
30.6  17
33.7  80
34.7  63
34.8  100
44.4  14
49.9  26
53.6  21
67.2  14
69.9  16



No. 3
# Li4Ac5In4
Theoretical powder XRD pattern, Cu Kα. Input: a DFT-relaxed cell (PBE, Alexandria).
Neutral-atom scattering factors, no anomalous dispersion.

Crystal structure
Cell lengths 9.3892, 9.3892, 9.3892 Å; angles 94.02, 94.02, 149.28 degrees
Positions (direct):
Li 0.0639 0.5996 0.6636
Li 0.4004 0.0639 0.4643
Li 0.5996 0.9361 0.5357
Li 0.9361 0.4004 0.3364
Ac 0.1333 0.2087 0.3420
Ac 0.2087 0.8667 0.0754
Ac 0.5000 0.5000 0.0000
Ac 0.7913 0.1333 0.9246
Ac 0.8667 0.7913 0.6580
In 0.2347 0.4500 0.6847
In 0.4500 0.7653 0.2152
In 0.5500 0.2347 0.7848
In 0.7653 0.5500 0.3153

Top 10 peaks for 15 to 90 degrees two-theta, low angle first:
Position (°2θ)  I/Imax
23.7  56
27.5  100
29.6  23
30.9  44
31.2  39
34.0  29
35.8  23
36.1  27
48.5  24
49.1  21



No. 4
# La5Pr4Nd4
Theoretical powder XRD pattern, Cu Kα. Input: a DFT-relaxed cell (PBE, Alexandria).
Neutral-atom scattering factors, no anomalous dispersion.

Crystal structure
Cell lengths 9.8439, 9.8439, 13.4055 Å; angles 132.90, 132.90, 30.85 degrees
Positions (direct):
La 0.0000 0.0000 0.0000
La 0.3086 0.3086 0.7699
La 0.4614 0.4614 0.1529
La 0.5386 0.5386 0.8471
La 0.6914 0.6914 0.2301
Pr 0.0767 0.0767 0.6922
Pr 0.3845 0.3845 0.4611
Pr 0.6155 0.6155 0.5389
Pr 0.9233 0.9233 0.3078
Nd 0.1544 0.1544 0.3862
Nd 0.2319 0.2319 0.0775
Nd 0.7681 0.7681 0.9225
Nd 0.8456 0.8456 0.6138

Top 10 peaks for 15 to 90 degrees two-theta, low angle first:
Position (°2θ)  I/Imax
29.4  100
34.1  34
34.3  17
48.9  12
49.1  24
58.1  15
58.2  15
58.4  14
61.1  13
79.6  9